1.
Starting from DFT lattice parameters and positions (PBE), the powder X-ray diffraction pattern of La2Nd6Tm was simulated for Cu Kα.
Peak positions follow from Bragg's law for the DFT cell and can differ from measured ones.

Principal peaks in the range 15° ≤ 2θ ≤ 90°, most intense first:
d [Å], 2θ/deg, I/Imax
3.003, 29.7, 100
2.601, 34.5, 51
1.568, 58.9, 43
1.839, 49.6, 30
1.163, 83.0, 14
1.502, 61.8, 12
1.194, 80.4, 9
1.193, 80.5, 9
1.837, 49.6, 6
1.300, 72.7, 6

Crystal structure
```
La2Nd6Tm
1.0
11.023 0.000 0.000
0.000 11.046 0.000
0.000 0.000 5.202
La Nd Tm
4 12 2
direct
0.164 0.164 0.000 La
0.336 0.664 0.500 La
0.664 0.336 0.500 La
0.836 0.836 0.000 La
0.000 0.332 0.500 Nd
0.000 0.668 0.500 Nd
0.167 0.500 0.000 Nd
0.167 0.833 0.000 Nd
0.333 0.000 0.500 Nd
0.333 0.333 0.500 Nd
0.500 0.168 0.000 Nd
0.500 0.832 0.000 Nd
0.667 0.000 0.500 Nd
0.667 0.667 0.500 Nd
0.833 0.167 0.000 Nd
0.833 0.500 0.000 Nd
0.000 0.000 0.500 Tm
0.500 0.500 0.000 Tm
```

2.
Starting from DFT lattice parameters and positions (PBE), the powder X-ray diffraction pattern of CoWCl4 was simulated for Cu Kα.
Peak positions follow from Bragg's law for the DFT cell and can differ from measured ones.

Principal peaks in the range 15° ≤ 2θ ≤ 90°, most intense first:
d [Å], 2θ/deg, I/Imax
2.429, 37.0, 100
2.848, 31.4, 70
4.650, 19.1, 42
1.550, 59.6, 32
1.644, 55.9, 27
4.027, 22.1, 19
1.424, 65.6, 19
2.325, 38.7, 15
1.848, 49.3, 12
1.274, 74.5, 11

Crystal structure
```
CoWCl4
1.0
0.000 4.027 4.027
4.027 0.000 4.027
4.027 4.027 0.000
Co W Cl
1 1 4
direct
0.000 0.000 0.000 Co
0.750 0.750 0.750 W
0.375 0.375 0.375 Cl
0.375 0.375 0.875 Cl
0.375 0.875 0.375 Cl
0.875 0.375 0.375 Cl
```

3.
Starting from DFT lattice parameters and positions (PBE), the powder X-ray diffraction pattern of Tl3Sn2Au9 was simulated for Cu Kα.
Peak positions follow from Bragg's law for the DFT cell and can differ from measured ones.

Principal peaks in the range 15° ≤ 2θ ≤ 90°, most intense first:
d [Å], 2θ/deg, I/Imax
2.665, 33.6, 100
2.760, 32.4, 56
2.539, 35.4, 54
2.557, 35.1, 43
2.031, 44.6, 41
2.284, 39.5, 32
1.278, 74.2, 29
1.488, 62.4, 28
2.910, 30.7, 27
2.170, 41.6, 25

Crystal structure
```
Tl3Sn2Au9
1.0
-2.031 5.641 6.792
2.031 -5.641 6.792
2.031 5.641 -6.792
Tl Sn Au
3 2 9
direct
0.000 0.000 0.000 Tl
0.281 0.281 0.000 Tl
0.719 0.719 0.000 Tl
0.319 0.500 0.819 Sn
0.681 0.500 0.181 Sn
0.010 0.635 0.375 Au
0.143 0.839 0.304 Au
0.261 0.635 0.625 Au
0.464 0.161 0.304 Au
0.500 0.000 0.500 Au
0.536 0.839 0.696 Au
0.739 0.365 0.375 Au
0.857 0.161 0.696 Au
0.990 0.365 0.625 Au
```

4.
Starting from DFT lattice parameters and positions (PBE), the powder X-ray diffraction pattern of InSeBr3 was simulated for Cu Kα.
Peak positions follow from Bragg's law for the DFT cell and can differ from measured ones.

Principal peaks in the range 15° ≤ 2θ ≤ 90°, most intense first:
d [Å], 2θ/deg, I/Imax
4.509, 19.7, 100
3.681, 24.2, 99
5.024, 17.7, 67
2.965, 30.1, 62
5.168, 17.2, 59
3.192, 27.9, 57
2.613, 34.3, 53
3.417, 26.1, 49
2.208, 40.9, 48
3.868, 23.0, 43

Crystal structure
```
InSeBr3
1.0
7.147 0.000 0.000
0.062 7.991 0.000
2.377 1.131 7.736
In Se Br
2 2 6
direct
0.000 0.000 0.000 In
0.313 0.803 0.604 In
0.100 0.087 0.302 Se
0.387 0.934 0.283 Se
0.207 0.374 0.266 Br
0.378 0.016 0.813 Br
0.460 0.532 0.686 Br
0.829 0.262 0.935 Br
0.843 0.767 0.253 Br
0.935 0.805 0.761 Br
```

5.
Starting from DFT lattice parameters and positions (PBE), the powder X-ray diffraction pattern of Rb2NaI6O was simulated for Cu Kα.
Peak positions follow from Bragg's law for the DFT cell and can differ from measured ones.

Principal peaks in the range 15° ≤ 2θ ≤ 90°, most intense first:
d [Å], 2θ/deg, I/Imax
3.405, 26.2, 100
2.747, 32.6, 33
3.535, 25.2, 32
2.169, 41.6, 28
1.687, 54.4, 16
4.030, 22.1, 15
2.015, 45.0, 15
1.960, 46.3, 11
1.475, 63.0, 11
1.702, 53.9, 10

Crystal structure
```
Rb2NaI6O
1.0
-3.885 3.885 7.071
3.885 -3.885 7.071
3.885 3.885 -7.071
Rb Na I O
2 1 6 1
direct
0.250 0.750 0.500 Rb
0.750 0.250 0.500 Rb
0.000 0.000 0.000 Na
0.216 0.216 0.000 I
0.285 0.285 0.571 I
0.285 0.715 0.000 I
0.715 0.285 0.000 I
0.715 0.715 0.429 I
0.784 0.784 0.000 I
0.500 0.500 0.000 O
```

6.
Starting from DFT lattice parameters and positions (PBE), the powder X-ray diffraction pattern of Tb3PrGa3 was simulated for Cu Kα.
Peak positions follow from Bragg's law for the DFT cell and can differ from measured ones.

Principal peaks in the range 15° ≤ 2θ ≤ 90°, most intense first:
d [Å], 2θ/deg, I/Imax
2.578, 34.8, 100
3.056, 29.2, 25
2.402, 37.4, 25
3.093, 28.9, 21
3.348, 26.6, 18
1.730, 52.9, 16
1.418, 65.9, 15
2.695, 33.2, 14
1.888, 48.2, 13
1.764, 51.8, 10

Crystal structure
```
Tb3PrGa3
1.0
9.336 0.000 0.000
-4.668 8.085 0.000
0.000 0.000 4.803
Tb Pr Ga
6 2 6
direct
0.020 0.762 0.250 Tb
0.238 0.258 0.250 Tb
0.258 0.020 0.750 Tb
0.742 0.980 0.250 Tb
0.762 0.742 0.750 Tb
0.980 0.238 0.750 Tb
0.333 0.667 0.750 Pr
0.667 0.333 0.250 Pr
0.056 0.449 0.250 Ga
0.392 0.944 0.250 Ga
0.449 0.392 0.750 Ga
0.551 0.608 0.250 Ga
0.608 0.056 0.750 Ga
0.944 0.551 0.750 Ga
```

7.
Starting from DFT lattice parameters and positions (PBE), the powder X-ray diffraction pattern of CaPrCuN2 was simulated for Cu Kα.
Peak positions follow from Bragg's law for the DFT cell and can differ from measured ones.

Principal peaks in the range 15° ≤ 2θ ≤ 90°, most intense first:
d [Å], 2θ/deg, I/Imax
2.490, 36.1, 100
4.979, 17.8, 92
2.482, 36.2, 71
3.706, 24.0, 43
2.774, 32.3, 40
1.853, 49.2, 35
2.423, 37.1, 29
1.880, 48.4, 28
2.876, 31.1, 23
2.863, 31.2, 23

Crystal structure
```
CaPrCuN2
1.0
5.548 0.000 0.000
0.000 4.979 0.000
-0.034 0.000 6.705
Ca Pr Cu N
2 2 2 4
direct
0.000 0.001 0.250 Ca
0.000 0.999 0.750 Ca
0.500 0.497 0.750 Pr
0.500 0.503 0.250 Pr
0.000 0.500 0.000 Cu
0.000 0.500 0.500 Cu
0.255 0.258 0.001 N
0.255 0.742 0.501 N
0.745 0.258 0.499 N
0.745 0.742 0.999 N
```

8.
Starting from DFT lattice parameters and positions (PBE), the powder X-ray diffraction pattern of Be2BPd6 was simulated for Cu Kα.
Peak positions follow from Bragg's law for the DFT cell and can differ from measured ones.

Principal peaks in the range 15° ≤ 2θ ≤ 90°, most intense first:
d [Å], 2θ/deg, I/Imax
2.299, 39.2, 100
2.366, 38.0, 61
2.138, 42.3, 55
2.204, 40.9, 50
2.431, 37.0, 45
2.292, 39.3, 36
1.848, 49.3, 25
2.720, 32.9, 24
2.728, 32.8, 23
2.561, 35.0, 22

Crystal structure
```
Be2BPd6
1.0
4.982 0.000 0.000
0.000 5.970 0.000
-4.950 0.000 7.760
Be B Pd
4 2 12
direct
0.186 0.114 0.254 Be
0.186 0.386 0.754 Be
0.814 0.614 0.246 Be
0.814 0.886 0.746 Be
0.000 0.000 0.500 B
0.000 0.500 0.000 B
0.100 0.176 0.942 Pd
0.100 0.324 0.442 Pd
0.286 0.686 0.938 Pd
0.286 0.814 0.438 Pd
0.384 0.028 0.754 Pd
0.384 0.472 0.254 Pd
0.616 0.528 0.746 Pd
0.616 0.972 0.246 Pd
0.714 0.186 0.562 Pd
0.714 0.314 0.062 Pd
0.900 0.676 0.558 Pd
0.900 0.824 0.058 Pd
```

9.
Starting from DFT lattice parameters and positions (PBE), the powder X-ray diffraction pattern of RbTi2Bi2O7 was simulated for Cu Kα.
Peak positions follow from Bragg's law for the DFT cell and can differ from measured ones.

Principal peaks in the range 15° ≤ 2θ ≤ 90°, most intense first:
d [Å], 2θ/deg, I/Imax
3.167, 28.2, 100
3.181, 28.0, 36
4.136, 21.5, 25
2.640, 34.0, 24
2.149, 42.0, 23
1.834, 49.7, 22
1.713, 53.5, 22
2.522, 35.6, 17
2.969, 30.1, 17
2.936, 30.4, 16

Crystal structure
```
RbTi2Bi2O7
1.0
-2.035 8.273 3.181
2.035 -8.273 3.181
2.035 8.273 -3.181
Rb Ti Bi O
1 2 2 7
direct
0.000 0.000 0.000 Rb
0.394 0.997 0.397 Ti
0.600 0.997 0.603 Ti
0.277 0.539 0.738 Bi
0.801 0.539 0.262 Bi
0.114 0.720 0.394 O
0.326 0.720 0.606 O
0.413 0.537 0.876 O
0.428 0.141 0.287 O
0.616 0.116 0.500 O
0.661 0.537 0.124 O
0.854 0.141 0.713 O
```

10.
Starting from DFT lattice parameters and positions (PBE), the powder X-ray diffraction pattern of Ac4GaNiBr2 was simulated for Cu Kα.
Peak positions follow from Bragg's law for the DFT cell and can differ from measured ones.

Principal peaks in the range 15° ≤ 2θ ≤ 90°, most intense first:
d [Å], 2θ/deg, I/Imax
3.231, 27.6, 100
3.277, 27.2, 52
2.278, 39.6, 41
3.596, 24.8, 32
2.323, 38.8, 30
1.798, 50.8, 19
2.151, 42.0, 18
3.866, 23.0, 18
2.447, 36.7, 17
3.978, 22.4, 13

Crystal structure
```
Ac4GaNiBr2
1.0
8.065 0.000 0.000
0.000 4.301 0.000
-2.358 0.000 7.955
Ac Ga Ni Br
4 1 1 2
direct
0.219 0.000 0.197 Ac
0.245 0.500 0.783 Ac
0.755 0.500 0.217 Ac
0.781 0.000 0.803 Ac
0.500 0.000 0.000 Ga
0.000 0.500 0.000 Ni
0.000 0.000 0.500 Br
0.500 0.500 0.500 Br
```

11.
Starting from DFT lattice parameters and positions (PBE), the powder X-ray diffraction pattern of PmErTlIn was simulated for Cu Kα.
Peak positions follow from Bragg's law for the DFT cell and can differ from measured ones.

Principal peaks in the range 15° ≤ 2θ ≤ 90°, most intense first:
d [Å], 2θ/deg, I/Imax
2.694, 33.3, 100
1.555, 59.4, 38
1.905, 47.8, 18
1.205, 79.6, 16
1.347, 69.8, 12
1.100, 89.0, 4
4.399, 20.2, 4
2.297, 39.2, 2
1.748, 52.3, 1
1.466, 63.4, 1

Crystal structure
```
PmErTlIn
1.0
7.619 0.000 0.000
0.000 7.619 0.000
0.000 0.000 7.619
Pm Er Tl In
4 4 4 4
direct
0.000 0.000 0.000 Pm
0.000 0.500 0.500 Pm
0.500 0.000 0.500 Pm
0.500 0.500 0.000 Pm
0.000 0.000 0.500 Er
0.000 0.500 0.000 Er
0.500 0.000 0.000 Er
0.500 0.500 0.500 Er
0.250 0.250 0.250 Tl
0.250 0.750 0.750 Tl
0.750 0.250 0.750 Tl
0.750 0.750 0.250 Tl
0.250 0.250 0.750 In
0.250 0.750 0.250 In
0.750 0.250 0.250 In
0.750 0.750 0.750 In
```